Structure and calculated powder X-ray diffraction pattern of CsNb4ClO5 (the GGA-PBE geometry in OQMD; a wavelength of 1.5418 Å).
Peak positions follow from Bragg's law for the DFT cell and can differ from measured ones.

Principal peaks in the range 2θ = 10–90°, in order of rising 2θ:
d_spacing	2theta	Rel. int.	index
3.862	23.0	27	1 0 1
3.129	28.5	100	1 0 2
2.858	31.3	93	1 1 1
2.312	39.0	40	0 0 4
2.152	42.0	77	1 1 3
2.125	42.5	80	2 0 0
1.758	52.0	36	2 1 2
1.565	59.0	44	2 0 4
1.503	61.7	25	2 2 0
1.232	77.5	26	3 1 3

```
data_CsNb4ClO5
_cell_length_a 4.2504
_cell_length_b 4.2504
_cell_length_c 9.2485
_cell_angle_alpha 90.00
_cell_angle_beta 90.00
_cell_angle_gamma 90.00
_space_group_name_H-M_alt 'P 4/m m m'
_space_group_IT_number 123
_space_group_name_Hall '-P 4 2'
loop_
_atom_site_label
_atom_site_type_symbol
_atom_site_fract_x
_atom_site_fract_y
_atom_site_fract_z
Cs1 Cs 0.0000 0.0000 0.0000
Nb1 Nb 0.0000 0.5000 0.5000
Nb2 Nb 0.5000 0.5000 0.2838
Cl1 Cl 0.5000 0.5000 0.0000
O1 O 0.0000 0.0000 0.5000
O2 O 0.0000 0.5000 0.2738
```